# 1
Structure and simulated X-ray diffraction stick pattern of Cs2ScPdI6 (a structure optimized by DFT (PBE); copper Kα).
Kinematic intensities with the Lorentz-polarization factor, no thermal factor.

Top 10 peaks for 10 to 80 degrees two-theta, most intense first:
2θ (°)  d/Å  I (rel.)
26.3  3.386  100
30.4  2.938  63
43.7  2.071  46
30.6  2.921  31
51.6  1.771  31
54.2  1.693  24
43.6  2.078  23
51.9  1.763  15
70.0  1.344  12
71.8  1.314  10

Atomic structure:
```
Cs2ScPdI6
1.0
-4.155 4.155 5.841
4.155 -4.155 5.841
4.155 4.155 -5.841
Cs Sc Pd I
2 1 1 6
Direct
0.250 0.750 0.500
0.750 0.250 0.500
0.000 0.000 0.000
0.500 0.500 0.000
0.248 0.248 0.497
0.248 0.752 0.000
0.250 0.250 0.000
0.750 0.750 0.000
0.752 0.248 0.000
0.752 0.752 0.503
```



# 2
Structure and simulated X-ray diffraction stick pattern of Cs2TlPdI6 (a structure optimized by DFT (PBE); copper Kα).
Kinematic intensities with the Lorentz-polarization factor, no thermal factor.

Top 10 peaks for 10 to 80 degrees two-theta, most intense first:
2θ (°)  d/Å  I (rel.)
27.4  3.259  100
33.0  2.715  69
12.5  7.055  44
44.5  2.037  36
50.1  1.821  22
10.4  8.507  21
55.6  1.654  20
31.6  2.836  17
53.0  1.727  15
56.5  1.629  15

Atomic structure:
```
Cs2TlPdI6
1.0
8.147 0.000 0.000
-4.073 7.055 0.000
0.000 0.000 8.507
Cs Tl Pd I
2 1 1 6
Direct
0.333 0.667 0.324
0.667 0.333 0.676
0.000 0.000 0.000
0.000 0.000 0.500
0.163 0.325 0.690
0.163 0.837 0.690
0.325 0.163 0.310
0.675 0.837 0.690
0.837 0.163 0.310
0.837 0.675 0.310
```



# 3
Structure and simulated X-ray diffraction stick pattern of Cs2PmI5 (a structure optimized by DFT (PBE); copper Kα).
Kinematic intensities with the Lorentz-polarization factor, no thermal factor.

Top 10 peaks for 10 to 80 degrees two-theta, most intense first:
2θ (°)  d/Å  I (rel.)
25.7  3.466  100
26.2  3.398  66
24.9  3.581  64
35.1  2.556  47
27.7  3.225  46
35.3  2.546  33
48.8  1.868  25
30.7  2.910  23
10.6  8.331  22
35.8  2.505  22

Atomic structure:
```
Cs2PmI5
1.0
15.362 0.000 0.000
0.000 10.219 0.000
0.000 0.000 9.916
Cs Pm I
8 4 20
Direct
0.169 0.012 0.091
0.169 0.488 0.091
0.331 0.512 0.591
0.331 0.988 0.591
0.669 0.012 0.409
0.669 0.488 0.409
0.831 0.512 0.909
0.831 0.988 0.909
0.006 0.250 0.572
0.494 0.750 0.072
0.506 0.250 0.928
0.994 0.750 0.428
0.016 0.250 0.896
0.056 0.549 0.666
0.056 0.951 0.666
0.185 0.250 0.417
0.194 0.750 0.368
0.306 0.250 0.868
0.315 0.750 0.917
0.444 0.049 0.166
0.444 0.451 0.166
0.484 0.750 0.396
0.516 0.250 0.604
0.556 0.549 0.834
0.556 0.951 0.834
0.685 0.250 0.083
0.694 0.750 0.132
0.806 0.250 0.632
0.815 0.750 0.583
0.944 0.049 0.334
0.944 0.451 0.334
0.984 0.750 0.104
```



# 4
Structure and simulated X-ray diffraction stick pattern of Cs3Pm2I9 (a structure optimized by DFT (PBE); copper Kα).
Kinematic intensities with the Lorentz-polarization factor, no thermal factor.

Top 10 peaks for 10 to 80 degrees two-theta, most intense first:
2θ (°)  d/Å  I (rel.)
26.5  3.358  100
25.0  3.566  94
28.6  3.120  83
41.6  2.172  74
31.1  2.878  58
12.4  7.132  54
23.9  3.721  54
48.5  1.876  40
40.2  2.242  31
43.7  2.072  30

Atomic structure:
```
Cs3Pm2I9
1.0
8.690 0.000 0.000
-4.345 7.525 0.000
0.000 0.000 22.338
Cs Pm I
6 4 18
Direct
0.000 0.000 0.250
0.000 0.000 0.750
0.333 0.667 0.062
0.333 0.667 0.438
0.667 0.333 0.562
0.667 0.333 0.938
0.333 0.667 0.656
0.333 0.667 0.844
0.667 0.333 0.156
0.667 0.333 0.344
0.009 0.504 0.750
0.163 0.326 0.585
0.163 0.326 0.915
0.163 0.837 0.585
0.163 0.837 0.915
0.326 0.163 0.085
0.326 0.163 0.415
0.496 0.504 0.750
0.496 0.991 0.750
0.504 0.009 0.250
0.504 0.496 0.250
0.674 0.837 0.585
0.674 0.837 0.915
0.837 0.163 0.085
0.837 0.163 0.415
0.837 0.674 0.085
0.837 0.674 0.415
0.991 0.496 0.250
```



# 5
Structure and simulated X-ray diffraction stick pattern of Cs4PmI7 (a structure optimized by DFT (PBE); copper Kα).
Kinematic intensities with the Lorentz-polarization factor, no thermal factor.

Top 10 peaks for 10 to 80 degrees two-theta, most intense first:
2θ (°)  d/Å  I (rel.)
25.9  3.436  100
28.2  3.164  64
27.7  3.225  60
39.9  2.259  44
28.5  3.127  37
15.6  5.696  31
24.8  3.588  25
27.0  3.299  21
48.6  1.875  21
53.3  1.718  19

Atomic structure:
```
Cs4PmI7
1.0
9.682 -3.164 0.000
9.682 3.164 0.000
-7.162 0.000 11.162
Cs Pm I
4 1 7
Direct
0.071 0.071 0.260
0.228 0.228 0.836
0.772 0.772 0.164
0.929 0.929 0.740
0.500 0.500 0.500
0.000 0.000 0.500
0.141 0.141 0.045
0.329 0.329 0.465
0.426 0.426 0.229
0.574 0.574 0.771
0.671 0.671 0.535
0.859 0.859 0.955
```



# 6
Structure and simulated X-ray diffraction stick pattern of Cs6Pm3I14 (a structure optimized by DFT (PBE); copper Kα).
Kinematic intensities with the Lorentz-polarization factor, no thermal factor.

Top 10 peaks for 10 to 80 degrees two-theta, most intense first:
2θ (°)  d/Å  I (rel.)
22.6  3.942  100
24.8  3.584  100
28.9  3.088  69
27.5  3.239  68
26.4  3.375  56
24.4  3.650  48
40.4  2.231  47
25.4  3.513  43
30.4  2.941  41
12.6  7.026  38

Atomic structure:
```
Cs6Pm3I14
1.0
14.052 0.000 0.000
-7.026 12.169 0.000
0.000 0.000 7.652
Cs Pm I
6 3 14
Direct
0.028 0.568 0.000
0.308 0.102 0.487
0.432 0.460 0.000
0.540 0.972 0.000
0.794 0.692 0.487
0.898 0.206 0.487
0.000 0.000 0.906
0.333 0.667 0.417
0.667 0.333 0.758
0.000 0.000 0.299
0.079 0.851 0.771
0.149 0.228 0.771
0.182 0.440 0.279
0.258 0.818 0.279
0.333 0.667 0.810
0.453 0.194 0.982
0.529 0.409 0.532
0.560 0.742 0.279
0.591 0.120 0.532
0.741 0.547 0.982
0.772 0.921 0.771
0.806 0.259 0.982
0.880 0.471 0.532
```